Calculated powder diffractogram of Sr2CdBiSb for Cu Kα (λ = 1.5418 Å), from a cell relaxed with PBE.
Intensities are scaled so that the largest is 100.

Atomic structure:
Lattice parameters (Å, degrees): 4.823 18.030 8.025 90.00 90.00 90.00
Space group Cmc2_1 (No. 36)
Symmetry-distinct sites (fractional):
Sr1 0.000 0.027 0.000
Sr2 0.000 0.206 0.344
Cd1 0.000 0.405 0.165
Bi1 0.000 0.430 0.785
Sb1 0.000 0.174 0.758

Peak list (10 most intense, 10 to 90 degrees two-theta, by angle)
| 2θ/deg | I/Imax |
| --- | --- |
| 22.14 | 65 |
| 22.63 | 32 |
| 26.16 | 68 |
| 29.38 | 62 |
| 30.96 | 100 |
| 32.63 | 65 |
| 37.29 | 54 |
| 39.16 | 31 |
| 41.42 | 33 |
| 60.79 | 41 |

Calculated powder diffractogram of TbErTlFe2 for Cu Kα (λ = 1.5418 Å), from a cell relaxed with PBE.
Intensities are scaled so that the largest is 100.

Atomic structure:
Lattice parameters (Å, degrees): 3.886 3.814 13.953 90.00 90.00 90.00
Space group Amm2 (No. 38)
Symmetry-distinct sites (fractional):
Tb1 0.000 0.000 0.000
Er1 0.000 0.000 0.722
Tl1 0.500 0.000 0.360
Fe1 0.500 0.000 0.152
Fe2 0.500 0.000 0.573

Peak list (10 most intense, 10 to 90 degrees two-theta, by angle)
| 2θ/deg | I/Imax |
| --- | --- |
| 30.30 | 54 |
| 33.54 | 100 |
| 34.55 | 78 |
| 40.03 | 29 |
| 46.75 | 21 |
| 47.69 | 20 |
| 56.73 | 19 |
| 57.29 | 19 |
| 60.21 | 31 |
| 63.20 | 15 |

Calculated powder diffractogram of Pr2Dy2NCl5 for Cu Kα (λ = 1.5418 Å), from a cell relaxed with PBE.
Intensities are scaled so that the largest is 100.

Atomic structure:
Lattice parameters (Å, degrees): 17.139 3.759 8.133 90.00 103.54 90.00
Space group C2/m (No. 12)
Symmetry-distinct sites (fractional):
Pr1 0.001 0.000 0.290
Dy1 0.140 0.500 0.575
N1 0.000 0.500 0.500
Cl1 0.000 0.500 0.000
Cl2 0.170 0.000 0.823
Cl3 0.176 0.000 0.354

Peak list (10 most intense, 10 to 90 degrees two-theta, by angle)
| 2θ/deg | I/Imax |
| --- | --- |
| 10.62 | 34 |
| 11.19 | 100 |
| 27.18 | 24 |
| 28.68 | 26 |
| 32.24 | 52 |
| 32.43 | 81 |
| 36.02 | 19 |
| 41.13 | 17 |
| 46.33 | 19 |
| 46.43 | 18 |